This entry pairs a crystal structure of Na17Cd11Si with its calculated X-ray diffraction stick pattern. Radiation: copper Kα. Structure: a DFT-relaxed cell (GGA-PBE, Alexandria).

Atomic structure:
```
Na17Cd11Si
1.0
5.800 -8.164 0.000
5.800 8.164 0.000
-5.640 0.000 8.294
Na Cd Si
17 11 1
Cartesian
0.000 0.000 0.000
1.334 4.843 3.426
3.738 5.728 1.024
3.275 0.000 0.631
6.983 4.821 0.356
3.908 2.596 2.588
1.747 2.841 6.048
-0.259 0.000 6.072
1.334 -4.843 3.426
4.915 2.222 6.042
3.908 -2.596 2.588
1.747 -2.841 6.048
6.018 0.000 3.640
3.738 -5.728 1.024
4.915 -2.222 6.042
6.983 -4.821 0.356
9.295 0.000 3.223
2.291 6.689 6.027
0.744 1.497 2.982
-1.326 2.952 7.542
0.744 -1.497 2.982
4.501 5.216 4.512
-1.326 -2.952 7.542
6.511 1.482 0.651
2.785 0.000 4.712
6.511 -1.482 0.651
2.291 -6.689 6.027
4.501 -5.216 4.512
2.849 0.000 7.450
```

Main lines, sorted by position (2θ = 15–90°):
Position (°2θ), d (Å), intensity
18.74, 4.735, 100.0
18.83, 4.712, 45.9
32.68, 2.740, 51.7
32.82, 2.729, 45.5
36.32, 2.473, 43.9
36.47, 2.464, 76.2